AcLa5Nd2Dy: simulated powder X-ray diffraction pattern (a wavelength of 1.5418 Å), based on DFT lattice parameters and positions (GGA-PBE).
No peak broadening, texture or thermal motion is included.

The 10 most intense peaks (2θ from 15° to 90°), by angle:
| 2θ/deg | I (rel.) | hkl |
| --- | --- | --- |
| 27.34 | 51 | 2 2 0 |
| 27.52 | 47 | 2 1 3 |
| 29.87 | 100 | 2 0 4 |
| 30.64 | 19 | 3 1 0 |
| 35.55 | 17 | 3 2 1 |
| 35.92 | 14 | 2 1 5 |
| 40.75 | 25 | 4 0 2 |
| 49.93 | 21 | 4 2 4 |
| 54.54 | 14 | 2 2 8 |
| 56.45 | 13 | 4 4 0 |

Cell and atoms:
Cell lengths 9.2260, 9.2260, 15.7131 Å; angles 90.00, 90.00, 90.00 degrees
Space group I4/mcm (No. 140)
Inequivalent atoms, fractional coordinates:
Ac 0.0000 0.0000 0.2500 [4 per cell]
La 0.0000 0.0000 0.0000 [4 per cell]
La 0.2023 0.2977 0.1338 [16 per cell]
Nd 0.1158 0.3842 0.5000 [8 per cell]
Dy 0.0000 0.5000 0.2500 [4 per cell]